# Ba4InBiO6
Simulated powder X-ray diffraction pattern, Cu Kα X-rays. Input: a structure optimized by DFT (GGA-PBE).
No peak broadening, texture or thermal motion is included.

Principal peaks in the range 10° ≤ 2θ ≤ 90°, low angle first:
| index | 2θ (°) | Rel. int. |
| --- | --- | --- |
| 0 0 2 | 13.3 | 26 |
| 1 1 0 | 27.8 | 66 |
| 1 0 3 | 28.1 | 100 |
| 1 0 5 | 39.2 | 28 |
| 2 0 0 | 39.7 | 34 |
| 2 1 3 | 49.4 | 43 |
| 2 1 5 | 57.1 | 19 |
| 2 2 0 | 57.5 | 11 |
| 3 1 0 | 65.0 | 12 |
| 3 2 3 | 79.1 | 11 |

Crystal structure
```
data_Ba4InBiO6
_chemical_formula_sum 'Ba4 In1 Bi1 O6'
_symmetry_space_group_name_H-M 'P 4/m m m'
_symmetry_Int_Tables_number 123
_symmetry_space_group_name_Hall '-P 4 2'
_cell_length_a 4.5357
_cell_length_b 4.5357
_cell_length_c 13.3241
_cell_angle_alpha 90.00
_cell_angle_beta 90.00
_cell_angle_gamma 90.00
loop_
_atom_site_label
_atom_site_type_symbol
_atom_site_fract_x
_atom_site_fract_y
_atom_site_fract_z
Ba1 Ba 0.0000 0.0000 0.1301
Ba2 Ba 0.5000 0.5000 0.3613
In1 In 0.5000 0.5000 0.0000
Bi1 Bi 0.0000 0.0000 0.5000
O1 O 0.0000 0.0000 0.3172
O2 O 0.0000 0.5000 0.0000
O3 O 0.0000 0.5000 0.5000
```

---

# BaInBi2Pb
Simulated powder X-ray diffraction pattern, Cu Kα X-rays. Input: a structure optimized by DFT (GGA-PBE).
No peak broadening, texture or thermal motion is included.

Principal peaks in the range 10° ≤ 2θ ≤ 90°, low angle first:
| index | 2θ (°) | Rel. int. |
| --- | --- | --- |
| 1 1 -1 | 18.9 | 28 |
| 1 1 1 | 22.3 | 36 |
| 4 0 0 | 23.9 | 27 |
| 6 0 -2 | 30.3 | 34 |
| 3 1 1 | 30.6 | 65 |
| 3 1 -3 | 32.0 | 100 |
| 0 2 0 | 33.5 | 46 |
| 7 1 -3 | 40.6 | 20 |
| 6 2 -2 | 45.8 | 22 |
| 3 3 -3 | 59.0 | 18 |

Crystal structure
```
data_BaInBi2Pb
_chemical_formula_sum 'Ba4 In4 Bi8 Pb4'
_symmetry_space_group_name_H-M 'C 1 2/m 1'
_symmetry_Int_Tables_number 12
_cell_length_a 17.7430
_cell_length_b 5.3431
_cell_length_c 9.8430
_cell_angle_alpha 90.00
_cell_angle_beta 123.02
_cell_angle_gamma 90.00
loop_
_symmetry_equiv_pos_as_xyz
'x,y,z'
'-x,-y,-z'
'-x,y,-z'
'x,-y,z'
'x+1/2,y+1/2,z'
'-x+1/2,-y+1/2,-z'
'-x+1/2,y+1/2,-z'
'x+1/2,-y+1/2,z'
loop_
_atom_site_label
_atom_site_type_symbol
_atom_site_fract_x
_atom_site_fract_y
_atom_site_fract_z
Ba1 Ba 0.2465 0.0000 0.2367
In1 In 0.0755 0.0000 0.7361
Bi1 Bi 0.1191 0.5000 0.9403
Bi2 Bi 0.1309 0.0000 0.4765
Pb1 Pb 0.0891 0.5000 0.2526
```

---

# BaInBiPd3
Simulated powder X-ray diffraction pattern, Cu Kα X-rays. Input: a structure optimized by DFT (GGA-PBE).
No peak broadening, texture or thermal motion is included.

Principal peaks in the range 10° ≤ 2θ ≤ 90°, low angle first:
| index | 2θ (°) | Rel. int. |
| --- | --- | --- |
| 0 2 0 | 13.3 | 26 |
| 2 0 0 | 25.9 | 32 |
| 0 0 2 | 26.5 | 26 |
| 0 2 2 | 29.7 | 26 |
| 0 4 1 | 30.0 | 27 |
| 1 3 2 | 36.0 | 35 |
| 2 0 2 | 37.4 | 100 |
| 1 5 1 | 38.7 | 44 |
| 2 4 1 | 40.0 | 24 |
| 0 0 4 | 54.5 | 34 |

Crystal structure
```
data_BaInBiPd3
_chemical_formula_sum 'Ba4 In4 Bi4 Pd12'
_symmetry_space_group_name_H-M 'C m c m'
_symmetry_Int_Tables_number 63
_symmetry_space_group_name_Hall '-C 2c 2'
_cell_length_a 6.8856
_cell_length_b 13.2754
_cell_length_c 6.7349
_cell_angle_alpha 90.00
_cell_angle_beta 90.00
_cell_angle_gamma 90.00
loop_
_atom_site_label
_atom_site_type_symbol
_atom_site_fract_x
_atom_site_fract_y
_atom_site_fract_z
Ba1 Ba 0.0000 0.2011 0.2500
In1 In 0.0000 0.4631 0.2500
Bi1 Bi 0.0000 0.1288 0.7500
Pd1 Pd 0.0000 0.3351 0.7500
Pd2 Pd 0.2090 0.0000 0.0000
```